[1]
The following is a calculated powder XRD pattern of Zr2S2O. It was derived from a cell relaxed with PBE, using CuKα.
Kinematic intensities with the Lorentz-polarization factor, no thermal factor.

Main lines, most intense first (2θ = 10–90°):
d 3.335, 2θ 26.73, I = 100
d 2.358, 2θ 38.16, I = 37
d 2.436, 2θ 36.90, I = 26
d 1.801, 2θ 50.69, I = 24
d 3.566, 2θ 24.97, I = 18
d 1.491, 2θ 62.25, I = 16

Atomic structure:
```
Zr2S2O
1.0
3.3351 0.0000 0.0000
0.0000 3.3351 0.0000
0.0000 0.0000 10.6981
Zr S O
2 2 1
Direct
0.0000 0.0000 0.1820
0.0000 0.0000 0.8180
0.0000 0.0000 0.4093
0.0000 0.0000 0.5907
0.0000 0.0000 0.0000
```

[2]
The following is a calculated powder XRD pattern of Na6Sc3TaSi2P4O24. It was derived from a cell relaxed with PBE, using CuKα.
Kinematic intensities with the Lorentz-polarization factor, no thermal factor.

Main lines, most intense first (2θ = 10–90°):
d 4.533, 2θ 19.58, I = 100
d 7.414, 2θ 11.94, I = 94
d 3.883, 2θ 22.90, I = 88
d 2.885, 2θ 31.00, I = 72
d 4.561, 2θ 19.46, I = 69
d 2.622, 2θ 34.20, I = 67

Atomic structure:
```
Na6Sc3TaSi2P4O24
1.0
9.0513 0.0000 0.0000
-4.4982 7.8717 0.0000
-0.0816 -5.1887 7.4350
Na Sc Ta Si P O
6 3 1 2 4 24
Direct
0.0000 0.0000 0.0000
0.0929 0.5038 0.2633
0.2181 0.0160 0.5225
0.3227 0.6197 0.9730
0.5864 0.4953 0.7502
0.8529 0.3871 0.5555
0.2435 0.7920 0.7025
0.4428 0.2096 0.3210
0.9436 0.2143 0.8290
0.7416 0.7947 0.2066
0.0455 0.7078 0.0190
0.1416 0.3050 0.5183
0.3484 0.2967 0.0057
0.5474 0.9965 0.5102
0.6417 0.0067 0.0257
0.8462 0.7155 0.5250
0.0130 0.7088 0.5073
0.0264 0.5154 0.0098
0.0729 0.7110 0.8408
0.0995 0.3087 0.6937
0.1401 0.4813 0.5129
0.1851 0.3132 0.0088
0.2137 0.9242 0.1969
0.3113 0.1064 0.8278
0.3227 0.3091 0.5087
0.3655 0.8453 0.5112
0.3906 0.2909 0.1659
0.4725 0.8740 0.8606
0.5088 0.4977 0.0277
0.5393 0.1627 0.5077
0.5832 0.8708 0.3367
0.6208 0.1398 0.1989
0.6493 0.8364 0.0314
0.6940 0.5228 0.5114
0.7084 0.1131 0.6743
0.7870 0.7204 0.3617
0.8233 0.1363 0.0088
0.8555 0.6978 0.0336
0.8944 0.9139 0.6998
0.9576 0.0708 0.3419
```

[3]
The following is a calculated powder XRD pattern of ZrB2Mo3C2. It was derived from a cell relaxed with PBE, using CuKα.
Kinematic intensities with the Lorentz-polarization factor, no thermal factor.

Main lines, most intense first (2θ = 10–90°):
d 2.571, 2θ 34.90, I = 100
d 2.229, 2θ 40.46, I = 83
d 2.370, 2θ 37.97, I = 49
d 2.208, 2θ 40.86, I = 40
d 2.809, 2θ 31.86, I = 39
d 1.478, 2θ 62.86, I = 27

Atomic structure:
```
ZrB2Mo3C2
1.0
3.1614 0.0000 0.0000
0.0000 1.5977 8.8333
0.0000 -1.5977 8.8333
Zr B Mo C
1 2 3 2
Direct
0.0000 0.0000 0.0000
0.0000 0.8422 0.8422
0.5000 0.7852 0.7852
0.0000 0.2425 0.2425
0.5000 0.3807 0.3807
0.5000 0.6261 0.6261
0.0000 0.1275 0.1275
0.5000 0.5044 0.5044
```

[4]
The following is a calculated powder XRD pattern of CsAlBP2HO9. It was derived from a cell relaxed with PBE, using CuKα.
Kinematic intensities with the Lorentz-polarization factor, no thermal factor.

Main lines, most intense first (2θ = 10–90°):
d 3.509, 2θ 25.38, I = 100
d 4.633, 2θ 19.16, I = 46
d 2.995, 2θ 29.83, I = 40
d 2.934, 2θ 30.47, I = 30
d 2.798, 2θ 31.99, I = 27
d 2.859, 2θ 31.29, I = 26

Atomic structure:
```
CsAlBP2HO9
1.0
9.3615 0.0000 0.0000
0.0000 8.8167 0.0000
-2.4136 0.0000 9.2876
Cs Al B P H O
4 4 4 8 4 36
Direct
0.1954 0.1177 0.0565
0.1954 0.3823 0.5565
0.8046 0.6177 0.4435
0.8046 0.8823 0.9435
0.1971 0.6535 0.9277
0.1971 0.8465 0.4277
0.8029 0.1535 0.5723
0.8029 0.3465 0.0723
0.3437 0.0332 0.7013
0.3437 0.4668 0.2013
0.6563 0.5332 0.7987
0.6563 0.9668 0.2987
0.0715 0.5739 0.2006
0.0715 0.9261 0.7006
0.4110 0.7277 0.7174
0.4110 0.7723 0.2174
0.5890 0.2277 0.7826
0.5890 0.2723 0.2826
0.9285 0.0739 0.2994
0.9285 0.4261 0.7994
0.3942 0.0550 0.5023
0.3942 0.4450 0.0023
0.6058 0.5550 0.9977
0.6058 0.9450 0.4977
0.0738 0.5100 0.8094
0.0738 0.9900 0.3094
0.0783 0.6557 0.0614
0.0783 0.8443 0.5614
0.0950 0.6814 0.3304
0.0950 0.8186 0.8304
0.2007 0.0489 0.7364
0.2007 0.4511 0.2364
0.3111 0.0253 0.5399
0.3111 0.4747 0.0399
0.3347 0.6335 0.8115
0.3347 0.8665 0.3115
0.3370 0.7179 0.5569
0.3370 0.7821 0.0569
0.4249 0.1724 0.7559
0.4249 0.3276 0.2559
0.4291 0.6018 0.2679
0.4291 0.8982 0.7679
0.5709 0.1018 0.2321
0.5709 0.3982 0.7321
0.5751 0.6724 0.7441
0.5751 0.8276 0.2441
0.6630 0.2179 0.9431
0.6630 0.2821 0.4431
0.6653 0.1335 0.6885
0.6653 0.3665 0.1885
0.6889 0.5253 0.9601
0.6889 0.9747 0.4601
0.7993 0.5489 0.7636
0.7993 0.9511 0.2636
0.9050 0.1814 0.1696
0.9050 0.3186 0.6696
0.9217 0.1557 0.4386
0.9217 0.3443 0.9386
0.9262 0.0100 0.6906
0.9262 0.4900 0.1906
```

[5]
The following is a calculated powder XRD pattern of KLaMg6. It was derived from a cell relaxed with PBE, using CuKα.
Kinematic intensities with the Lorentz-polarization factor, no thermal factor.

Main lines, most intense first (2θ = 10–90°):
d 2.678, 2θ 33.46, I = 100
d 2.646, 2θ 33.87, I = 45
d 6.193, 2θ 14.30, I = 44
d 4.015, 2θ 22.14, I = 34
d 3.097, 2θ 28.83, I = 33
d 2.668, 2θ 33.59, I = 32

Atomic structure:
```
KLaMg6
1.0
5.3356 0.0000 0.0000
0.0000 3.5949 6.0956
0.0000 -3.5949 6.0956
K La Mg
1 1 6
Direct
0.0000 0.0000 0.0000
0.0000 0.5145 0.5145
0.0000 0.0181 0.4884
0.0000 0.4884 0.0181
0.5000 0.3346 0.3346
0.5000 0.3641 0.8485
0.5000 0.8162 0.8162
0.5000 0.8485 0.3641
```

[6]
The following is a calculated powder XRD pattern of BaSrI4. It was derived from a cell relaxed with PBE, using CuKα.
Kinematic intensities with the Lorentz-polarization factor, no thermal factor.

Main lines, most intense first (2θ = 10–90°):
d 3.089, 2θ 28.90, I = 100
d 3.169, 2θ 28.16, I = 84
d 3.066, 2θ 29.13, I = 82
d 3.437, 2θ 25.92, I = 74
d 2.486, 2θ 36.14, I = 59
d 2.705, 2θ 33.12, I = 55

Atomic structure:
```
BaSrI4
1.0
5.4441 -7.5043 0.0000
5.4441 7.5043 0.0000
-5.2291 0.0000 6.7182
Ba Sr I
2 2 8
Direct
0.0186 0.9814 0.7500
0.9814 0.0186 0.2500
0.3683 0.6317 0.2500
0.6317 0.3683 0.7500
0.0552 0.6948 0.9364
0.2554 0.3715 0.7602
0.3052 0.9448 0.5636
0.3715 0.2554 0.2602
0.6285 0.7446 0.7398
0.6948 0.0552 0.4364
0.7446 0.6285 0.2398
0.9448 0.3052 0.0636
```

[7]
The following is a calculated powder XRD pattern of Gd3Si. It was derived from a cell relaxed with PBE, using CuKα.
Kinematic intensities with the Lorentz-polarization factor, no thermal factor.

Main lines, most intense first (2θ = 10–90°):
d 2.543, 2θ 35.30, I = 100
d 3.881, 2θ 22.92, I = 28
d 2.600, 2θ 34.50, I = 24
d 2.915, 2θ 30.67, I = 24
d 1.682, 2θ 54.54, I = 24
d 1.413, 2θ 66.14, I = 20

Atomic structure:
```
Gd3Si
1.0
6.7318 0.0000 0.0000
-3.3659 5.8299 0.0000
0.0000 0.0000 5.1997
Gd Si
6 2
Direct
0.1772 0.3544 0.2500
0.1772 0.8228 0.2500
0.3544 0.1772 0.7500
0.6456 0.8228 0.2500
0.8228 0.1772 0.7500
0.8228 0.6456 0.7500
0.3333 0.6667 0.7500
0.6667 0.3333 0.2500
```